Theoretical X-ray diffraction stick pattern
Compound: Ba4CoI2O12
Radiation: Cu Kα, 1.54184 Å
Structure: a crystal structure in OQMD, relaxed with PBE+U

The 10 most intense peaks (10° ≤ 2θ ≤ 90°), by intensity:
- d 3.113, 2θ = 28.7°, intensity 100
- d 2.865, 2θ = 31.2°, intensity 88
- d 2.108, 2θ = 42.9°, intensity 52
- d 1.698, 2θ = 54.0°, intensity 33
- d 1.654, 2θ = 55.6°, intensity 17
- d 1.433, 2θ = 65.1°, intensity 17
- d 1.367, 2θ = 68.6°, intensity 16
- d 1.854, 2θ = 49.1°, intensity 15
- d 1.301, 2θ = 72.7°, intensity 14
- d 2.266, 2θ = 39.8°, intensity 13

Cell and atoms:
```
data_Ba4CoI2O12
_chemical_formula_sum 'Ba4 Co1 I2 O12'
_symmetry_space_group_name_H-M 'P 1'
_symmetry_Int_Tables_number 1
_symmetry_space_group_name_Hall 'P 1'
_cell_length_a 9.897
_cell_length_b 9.897
_cell_length_c 9.897
_cell_angle_alpha 33.66
_cell_angle_beta 33.66
_cell_angle_gamma 33.66
loop_
_atom_site_label
_atom_site_type_symbol
_atom_site_fract_x
_atom_site_fract_y
_atom_site_fract_z
Ba1 Ba 0.133 0.133 0.133
Ba2 Ba 0.291 0.291 0.291
Ba3 Ba 0.709 0.709 0.709
Ba4 Ba 0.867 0.867 0.867
Co1 Co 0.000 0.000 0.000
I1 I 0.418 0.418 0.418
I2 I 0.582 0.582 0.582
O1 O 0.134 0.613 0.613
O2 O 0.218 0.218 0.694
O3 O 0.218 0.694 0.218
O4 O 0.306 0.782 0.782
O5 O 0.387 0.387 0.866
O6 O 0.387 0.866 0.387
O7 O 0.613 0.134 0.613
O8 O 0.613 0.613 0.134
O9 O 0.694 0.218 0.218
O10 O 0.782 0.306 0.782
O11 O 0.782 0.782 0.306
O12 O 0.866 0.387 0.387
```